[1]
This entry pairs a crystal structure of K3InGe with its simulated powder X-ray diffraction pattern. Radiation: Cu Ka. Structure: the GGA-PBE geometry in Alexandria.
Lines closer than 0.1° are merged.

```
data_K3InGe
_chemical_formula_sum 'K12 In4 Ge4'
_cell_length_a 11.459
_cell_length_b 7.934
_cell_length_c 9.242
_cell_angle_alpha 90.00
_cell_angle_beta 90.00
_cell_angle_gamma 90.00
_space_group_name_H-M_alt 'I m a 2'
_space_group_IT_number 46
loop_
_space_group_symop_operation_xyz
'x,y,z'
'-x,-y,z'
'-x+1/2,y,z'
'x+1/2,-y,z'
'x+1/2,y+1/2,z+1/2'
'-x+1/2,-y+1/2,z+1/2'
'-x,y+1/2,z+1/2'
'x,-y+1/2,z+1/2'
loop_
_atom_site_label
_atom_site_type_symbol
_atom_site_fract_x
_atom_site_fract_y
_atom_site_fract_z
K1 K 0.040 0.226 0.000
K2 K 0.250 0.007 0.294
In1 In 0.250 0.576 0.176
Ge1 Ge 0.250 0.631 0.465
```

Largest 8 diffraction maxima, sorted by position, 2θ from 10° to 90°:
2theta	I/Imax
13.58	71
15.47	94
25.64	52
25.89	58
27.35	57
29.68	41
31.18	100
34.95	55

---

[2]
This entry pairs a crystal structure of Na2LiCdH4 with its simulated powder X-ray diffraction pattern. Radiation: Cu Ka. Structure: the GGA-PBE geometry in Alexandria.
Lines closer than 0.1° are merged.

```
data_Na2LiCdH4
_chemical_formula_sum 'Na4 Li2 Cd2 H8'
_cell_length_a 5.561
_cell_length_b 5.561
_cell_length_c 6.910
_cell_angle_alpha 90.00
_cell_angle_beta 90.00
_cell_angle_gamma 90.00
_space_group_name_H-M_alt 'I -4'
_space_group_IT_number 82
loop_
_space_group_symop_operation_xyz
'x,y,z'
'y,-x,-z'
'-x,-y,z'
'-y,x,-z'
'x+1/2,y+1/2,z+1/2'
'y+1/2,-x+1/2,-z+1/2'
'-x+1/2,-y+1/2,z+1/2'
'-y+1/2,x+1/2,-z+1/2'
loop_
_atom_site_label
_atom_site_type_symbol
_atom_site_fract_x
_atom_site_fract_y
_atom_site_fract_z
Na1 Na 0.000 0.000 0.000
Na2 Na 0.000 0.500 0.250
Li1 Li 0.000 0.000 0.500
Cd1 Cd 0.000 0.500 0.750
H1 H 0.151 0.311 0.541
```

Largest 8 diffraction maxima, sorted by position, 2θ from 10° to 90°:
2theta	I/Imax
20.50	100
22.61	57
32.20	52
34.56	87
38.47	39
41.70	23
46.18	19
58.94	35

---

[3]
This entry pairs a crystal structure of Er13In2 with its simulated powder X-ray diffraction pattern. Radiation: Cu Ka. Structure: the GGA-PBE geometry in Alexandria.
Lines closer than 0.1° are merged.

```
data_Er13In2
_chemical_formula_sum 'Er13 In2'
_cell_length_a 6.629
_cell_length_b 8.469
_cell_length_c 8.799
_cell_angle_alpha 66.76
_cell_angle_beta 79.05
_cell_angle_gamma 82.51
_space_group_name_H-M_alt 'P -1'
_space_group_IT_number 2
loop_
_space_group_symop_operation_xyz
'x,y,z'
'-x,-y,-z'
loop_
_atom_site_label
_atom_site_type_symbol
_atom_site_fract_x
_atom_site_fract_y
_atom_site_fract_z
Er1 Er 0.000 0.000 0.000
Er2 Er 0.121 0.484 0.739
Er3 Er 0.200 0.226 0.154
Er4 Er 0.256 0.938 0.581
Er5 Er 0.305 0.655 0.976
Er6 Er 0.368 0.412 0.391
Er7 Er 0.486 0.146 0.795
In1 In 0.060 0.768 0.378
```

Largest 8 diffraction maxima, sorted by position, 2θ from 10° to 90°:
2theta	I/Imax
31.57	40
32.17	45
32.42	100
33.12	41
33.33	47
44.46	15
48.07	15
59.20	16

---

[4]
This entry pairs a crystal structure of K3AlP2 with its simulated powder X-ray diffraction pattern. Radiation: Cu Ka. Structure: the GGA-PBE geometry in Alexandria.
Lines closer than 0.1° are merged.

```
data_K3AlP2
_chemical_formula_sum 'K24 Al8 P16'
_cell_length_a 8.942
_cell_length_b 11.960
_cell_length_c 15.236
_cell_angle_alpha 72.74
_cell_angle_beta 73.28
_cell_angle_gamma 71.98
_space_group_name_H-M_alt 'P -1'
_space_group_IT_number 2
loop_
_space_group_symop_operation_xyz
'x,y,z'
'-x,-y,-z'
loop_
_atom_site_label
_atom_site_type_symbol
_atom_site_fract_x
_atom_site_fract_y
_atom_site_fract_z
K1 K 0.005 0.375 0.083
K2 K 0.015 0.425 0.659
K3 K 0.029 0.086 0.246
K4 K 0.155 0.084 0.806
K5 K 0.183 0.913 0.476
K6 K 0.272 0.257 0.880
K7 K 0.311 0.766 0.180
K8 K 0.314 0.400 0.192
K9 K 0.326 0.619 0.476
K10 K 0.345 0.580 0.742
K11 K 0.470 0.903 0.651
K12 K 0.484 0.107 0.084
Al1 Al 0.095 0.859 0.992
Al2 Al 0.137 0.267 0.445
Al3 Al 0.347 0.613 0.990
Al4 Al 0.348 0.220 0.573
P1 P 0.023 0.701 0.655
P2 P 0.097 0.665 0.105
P3 P 0.142 0.125 0.588
P4 P 0.168 0.016 0.038
P5 P 0.284 0.782 0.859
P6 P 0.338 0.367 0.430
P7 P 0.404 0.413 0.960
P8 P 0.499 0.825 0.319
```

Largest 8 diffraction maxima, sorted by position, 2θ from 10° to 90°:
2theta	I/Imax
27.63	34
28.76	41
29.68	35
30.09	38
31.34	100
32.52	41
32.77	62
32.91	32

---

[5]
This entry pairs a crystal structure of BeS8 with its simulated powder X-ray diffraction pattern. Radiation: Cu Ka. Structure: the GGA-PBE geometry in Alexandria.
Lines closer than 0.1° are merged.

```
data_BeS8
_chemical_formula_sum 'Be4 S32'
_cell_length_a 5.166
_cell_length_b 9.687
_cell_length_c 16.675
_cell_angle_alpha 90.00
_cell_angle_beta 90.00
_cell_angle_gamma 90.00
_space_group_name_H-M_alt 'F m m m'
_space_group_IT_number 69
_space_group_name_Hall '-F 2 2'
loop_
_atom_site_label
_atom_site_type_symbol
_atom_site_fract_x
_atom_site_fract_y
_atom_site_fract_z
Be1 Be 0.000 0.000 0.000
S1 S 0.000 0.000 0.125
S2 S 0.000 0.235 0.000
S3 S 0.000 0.236 0.138
```

Largest 8 diffraction maxima, sorted by position, 2θ from 10° to 90°:
2theta	I/Imax
10.61	65
18.32	100
20.19	94
21.30	76
34.73	82
37.12	61
43.41	33
51.74	42

---

[6]
This entry pairs a crystal structure of CaHo2Cd2 with its simulated powder X-ray diffraction pattern. Radiation: Cu Ka. Structure: the GGA-PBE geometry in Alexandria.
Lines closer than 0.1° are merged.

```
data_CaHo2Cd2
_chemical_formula_sum 'Ca4 Ho8 Cd8'
_cell_length_a 3.726
_cell_length_b 27.737
_cell_length_c 5.408
_cell_angle_alpha 90.00
_cell_angle_beta 90.00
_cell_angle_gamma 90.00
_space_group_name_H-M_alt 'C m c m'
_space_group_IT_number 63
_space_group_name_Hall '-C 2c 2'
loop_
_atom_site_label
_atom_site_type_symbol
_atom_site_fract_x
_atom_site_fract_y
_atom_site_fract_z
Ca1 Ca 0.000 0.146 0.250
Ho1 Ho 0.000 0.047 0.750
Ho2 Ho 0.000 0.234 0.750
Cd1 Cd 0.000 0.358 0.250
Cd2 Cd 0.000 0.454 0.750
```

Largest 8 diffraction maxima, sorted by position, 2θ from 10° to 90°:
2theta	I/Imax
17.60	12
32.27	21
33.13	28
33.37	100
46.93	15
48.90	10
58.26	10
59.34	19